Record 1
For Mg6NbFeO8, DFT lattice parameters and positions (GGA+U) gives the theoretical powder X-ray diffraction pattern in this record (CuKα).

Peak list (8 most intense, 2θ from 15° to 90°, in order of rising 2θ)
2theta, I/Imax
20.39, 19
31.00, 26
35.89, 51
41.47, 51
41.78, 100
60.33, 58
60.57, 29
76.07, 27

Cell: 4.3238 4.3238 8.7106 Å, 90.00 90.00 90.00°
Fractional coordinates of all 16 atoms:
Mg 0.0000 0.0000 0.0000
Mg 0.0000 0.5000 0.2443
Mg 0.0000 0.5000 0.7557
Mg 0.5000 0.0000 0.2443
Mg 0.5000 0.0000 0.7557
Mg 0.5000 0.5000 0.0000
Nb 0.0000 0.0000 0.5000
Fe 0.5000 0.5000 0.5000
O 0.0000 0.0000 0.2372
O 0.0000 0.0000 0.7628
O 0.0000 0.5000 0.0000
O 0.0000 0.5000 0.5000
O 0.5000 0.0000 0.0000
O 0.5000 0.0000 0.5000
O 0.5000 0.5000 0.2453
O 0.5000 0.5000 0.7547



Record 2
For MgFe4Ni2O8, DFT lattice parameters and positions (GGA+U) gives the theoretical powder X-ray diffraction pattern in this record (CuKα).

Peak list (8 most intense, 2θ from 15° to 90°, in order of rising 2θ)
2theta, I/Imax
30.12, 37
33.67, 32
34.61, 100
35.38, 56
41.81, 72
53.73, 26
58.55, 32
62.62, 50

Cell: 5.9298 5.9342 6.3298 Å, 90.07 117.92 119.93°
Fractional coordinates of all 15 atoms:
Mg 0.0000 0.0000 0.0000
Fe 0.0000 0.5000 0.5000
Fe 0.3121 0.1577 0.4727
Fe 0.5000 0.0000 0.0000
Fe 0.6879 0.8423 0.5273
Ni 0.0000 0.5000 0.0000
Ni 0.5000 0.5000 0.0000
O 0.0036 0.2635 0.7437
O 0.0125 0.7584 0.7565
O 0.4504 0.7288 0.1731
O 0.4985 0.2418 0.2434
O 0.5015 0.7582 0.7566
O 0.5496 0.2712 0.8269
O 0.9875 0.2416 0.2435
O 0.9964 0.7365 0.2563



Record 3
For Mg6FeNiO8, DFT lattice parameters and positions (GGA+U) gives the theoretical powder X-ray diffraction pattern in this record (CuKα).

Peak list (8 most intense, 2θ from 15° to 90°, in order of rising 2θ)
2theta, I/Imax
31.50, 15
36.47, 41
42.16, 51
42.47, 100
61.39, 57
61.62, 28
73.77, 13
77.49, 26

Cell: 4.2572 4.2572 8.5732 Å, 90.00 90.00 90.00°
Fractional coordinates of all 16 atoms:
Mg 0.0000 0.0000 0.0000
Mg 0.0000 0.5000 0.2502
Mg 0.0000 0.5000 0.7498
Mg 0.5000 0.0000 0.2502
Mg 0.5000 0.0000 0.7498
Mg 0.5000 0.5000 0.0000
Fe 0.0000 0.0000 0.5000
Ni 0.5000 0.5000 0.5000
O 0.0000 0.0000 0.2438
O 0.0000 0.0000 0.7562
O 0.0000 0.5000 0.0000
O 0.0000 0.5000 0.5000
O 0.5000 0.0000 0.0000
O 0.5000 0.0000 0.5000
O 0.5000 0.5000 0.2510
O 0.5000 0.5000 0.7490



Record 4
For MgFe4Ni2O8, DFT lattice parameters and positions (GGA+U) gives the theoretical powder X-ray diffraction pattern in this record (CuKα).

Peak list (8 most intense, 2θ from 15° to 90°, in order of rising 2θ)
2theta, I/Imax
27.92, 38
33.34, 85
34.26, 100
34.37, 45
34.67, 61
35.02, 37
45.80, 36
53.58, 45

Cell: 6.1534 6.1534 6.1534 Å, 120.70 117.42 91.66°
Fractional coordinates of all 15 atoms:
Mg 0.0000 0.0000 0.0000
Fe 0.2905 0.5759 0.7146
Fe 0.3111 0.3111 0.0000
Fe 0.4112 0.9112 0.5000
Fe 0.8613 0.5759 0.2854
Ni 0.7717 0.0436 0.2719
Ni 0.7717 0.4999 0.7281
O 0.0303 0.8206 0.2097
O 0.0414 0.3422 0.6992
O 0.1262 0.3882 0.2620
O 0.1262 0.8643 0.7380
O 0.5394 0.3029 0.7635
O 0.5394 0.7759 0.2365
O 0.6109 0.8206 0.7903
O 0.6430 0.3422 0.3008



Record 5
For MgFe2Ni4O8, DFT lattice parameters and positions (GGA+U) gives the theoretical powder X-ray diffraction pattern in this record (CuKα).

Peak list (8 most intense, 2θ from 15° to 90°, in order of rising 2θ)
2theta, I/Imax
17.38, 33
28.57, 63
33.63, 100
40.84, 22
50.60, 28
53.90, 55
59.13, 61
84.14, 18

Cell: 6.2494 6.2494 6.2494 Å, 60.00 60.00 60.00°
Fractional coordinates of all 15 atoms:
Mg 0.0000 0.0000 0.0000
Fe 0.2500 0.2500 0.2500
Fe 0.5000 0.5000 0.5000
Ni 0.4308 0.8564 0.8564
Ni 0.8564 0.4308 0.8564
Ni 0.8564 0.8564 0.4308
Ni 0.8564 0.8564 0.8564
O 0.1137 0.6288 0.6288
O 0.1228 0.1228 0.1228
O 0.1228 0.1228 0.6315
O 0.1228 0.6315 0.1228
O 0.6288 0.1137 0.6288
O 0.6288 0.6288 0.1137
O 0.6288 0.6288 0.6288
O 0.6315 0.1228 0.1228



Record 6
For Mg14FeNiO16, DFT lattice parameters and positions (GGA+U) gives the theoretical powder X-ray diffraction pattern in this record (CuKα).

Peak list (8 most intense, 2θ from 15° to 90°, in order of rising 2θ)
2theta, I/Imax
20.84, 6
25.59, 5
29.63, 5
36.50, 19
42.40, 100
61.52, 56
73.70, 10
77.57, 17

Cell: 8.5282 8.5282 4.2621 Å, 90.00 90.00 90.00°
Fractional coordinates of all 32 atoms:
Mg 0.0000 0.2492 0.0000
Mg 0.0000 0.5000 0.5000
Mg 0.0000 0.7508 0.0000
Mg 0.2492 0.0000 0.0000
Mg 0.2490 0.2490 0.5000
Mg 0.2490 0.7510 0.5000
Mg 0.2499 0.5000 0.0000
Mg 0.5000 0.0000 0.5000
Mg 0.5000 0.2499 0.0000
Mg 0.5000 0.7501 0.0000
Mg 0.7501 0.5000 0.0000
Mg 0.7508 0.0000 0.0000
Mg 0.7510 0.2490 0.5000
Mg 0.7510 0.7510 0.5000
Fe 0.5000 0.5000 0.5000
Ni 0.0000 0.0000 0.5000
O 0.0000 0.0000 0.0000
O 0.0000 0.2505 0.5000
O 0.0000 0.5000 0.0000
O 0.0000 0.7495 0.5000
O 0.2457 0.5000 0.5000
O 0.2501 0.2501 0.0000
O 0.2501 0.7499 0.0000
O 0.2505 0.0000 0.5000
O 0.5000 0.0000 0.0000
O 0.5000 0.2457 0.5000
O 0.5000 0.5000 0.0000
O 0.5000 0.7543 0.5000
O 0.7495 0.0000 0.5000
O 0.7499 0.2501 0.0000
O 0.7499 0.7499 0.0000
O 0.7543 0.5000 0.5000